Diffraction record for Mg16Al12Tc. The X-ray diffraction stick pattern is simulated, not measured: it uses a structure optimized by DFT (GGA-PBE) and λ = 1.5418 Å (Cu Kα).
Neutral-atom scattering factors, no anomalous dispersion.

Crystal structure
```
data_Mg16Al12Tc
_chemical_formula_sum 'Mg16 Al12 Tc1'
_cell_length_a 8.9494
_cell_length_b 8.9494
_cell_length_c 8.9494
_cell_angle_alpha 108.66
_cell_angle_beta 108.66
_cell_angle_gamma 108.66
_space_group_name_H-M_alt 'P 1'
_space_group_IT_number 1
loop_
_space_group_symop_operation_xyz
'x,y,z'
loop_
_atom_site_label
_atom_site_type_symbol
_atom_site_fract_x
_atom_site_fract_y
_atom_site_fract_z
Mg1 Mg 0.0000 0.0000 0.0000
Mg2 Mg 0.2668 0.6690 0.6690
Mg3 Mg 0.3079 0.5831 0.9817
Mg4 Mg 0.3079 0.9817 0.5831
Mg5 Mg 0.3415 0.9846 0.9846
Mg6 Mg 0.4137 0.4137 0.6803
Mg7 Mg 0.4137 0.6803 0.4137
Mg8 Mg 0.5831 0.3079 0.9817
Mg9 Mg 0.5831 0.9817 0.3079
Mg10 Mg 0.6690 0.2668 0.6690
Mg11 Mg 0.6690 0.6690 0.2668
Mg12 Mg 0.6803 0.4137 0.4137
Mg13 Mg 0.9817 0.3079 0.5831
Mg14 Mg 0.9817 0.5831 0.3079
Mg15 Mg 0.9846 0.3415 0.9846
Mg16 Mg 0.9846 0.9846 0.3415
Al1 Al 0.1456 0.3363 0.3363
Al2 Al 0.1790 0.1790 0.7892
Al3 Al 0.1790 0.7892 0.1790
Al4 Al 0.3363 0.1456 0.3363
Al5 Al 0.3363 0.3363 0.1456
Al6 Al 0.6241 0.8041 0.9849
Al7 Al 0.6241 0.9849 0.8041
Al8 Al 0.7892 0.1790 0.1790
Al9 Al 0.8041 0.6241 0.9849
Al10 Al 0.8041 0.9849 0.6241
Al11 Al 0.9849 0.6241 0.8041
Al12 Al 0.9849 0.8041 0.6241
Tc1 Tc 0.7153 0.7153 0.7153
```

Principal peaks in the range 2θ from 10° to 80°, by angle:
d/Å	two_theta	Rel. int.
7.482	11.83	55
7.270	12.17	66
2.607	34.40	53
2.494	36.01	97
2.454	36.62	84
2.431	36.98	100
2.423	37.10	57
2.198	41.07	56